# TbEr2Tc
Calculated powder X-ray diffraction pattern, Cu Kα X-rays. Input: a GGA-PBE-relaxed structure.
Lines closer than 0.1° are merged.

Crystal structure
```
TbEr2Tc
1.0
1.9417 -5.9323 0.0000
1.9417 5.9323 0.0000
0.0000 0.0000 9.0949
Tb Er Tc
2 4 2
Cartesian
1.9417 5.0843 6.8212 Tb
1.9417 -5.0843 2.2737 Tb
1.9417 1.7260 5.1503 Er
1.9417 1.7260 8.4920 Er
1.9417 -1.7260 0.6029 Er
1.9417 -1.7260 3.9446 Er
1.9417 2.8392 2.2737 Tc
1.9417 -2.8392 6.8212 Tc
```

The 10 most intense peaks (2θ = 5–70°), most intense first:
2θ (°), Rel. int.
33.19, 1000
33.82, 911
31.21, 890
32.31, 717
38.43, 546
58.56, 396
46.79, 344
54.50, 294
36.16, 268
50.32, 243



# Rb2NiBi2
Calculated powder X-ray diffraction pattern, Cu Kα X-rays. Input: a GGA-PBE-relaxed structure.
Lines closer than 0.1° are merged.

Crystal structure
```
Rb2NiBi2
1.0
3.7972 -7.4352 0.0000
3.7972 7.4352 0.0000
0.0000 0.0000 6.4712
Rb Ni Bi
4 2 4
Cartesian
3.7972 5.8725 4.8534 Rb
3.7972 2.9088 1.6178 Rb
3.7972 -2.9088 4.8534 Rb
3.7972 -5.8725 1.6178 Rb
3.7972 0.0000 0.0000 Ni
3.7972 0.0000 3.2356 Ni
2.2884 1.4377 4.8534 Bi
2.2884 -1.4377 1.6178 Bi
5.3059 1.4377 4.8534 Bi
5.3059 -1.4377 1.6178 Bi
```

The 10 most intense peaks (2θ = 5–70°), most intense first:
2θ (°), Rel. int.
29.81, 1000
18.17, 479
25.49, 468
27.57, 410
13.09, 302
27.67, 293
11.90, 276
36.83, 272
45.92, 260
56.95, 241